Computed XRD peak list of B6P for CuKα, from a PBE-relaxed structure.
Intensities are scaled so that the largest is 100.

Principal peaks in the range 10° ≤ 2θ ≤ 80°, in order of falling intensity:
2θ (°)  d/Å  intensity
35.4  2.535  100
34.9  2.574  72
22.8  3.906  71
29.8  2.997  53
61.3  1.512  43
46.9  1.936  31
55.7  1.650  26
41.9  2.157  23

Structural model:
Cell: 5.2535 5.2535 5.2535 Å, 69.56 69.56 69.56°
Atoms (fractional coordinates):
B 0.1736 0.4872 0.4872
B 0.2175 0.6839 0.6839
B 0.3161 0.3161 0.7825
B 0.3161 0.7825 0.3161
B 0.4872 0.1736 0.4872
B 0.4872 0.4872 0.1736
B 0.5128 0.5128 0.8264
B 0.5128 0.8264 0.5128
B 0.6839 0.2175 0.6839
B 0.6839 0.6839 0.2175
B 0.7825 0.3161 0.3161
B 0.8264 0.5128 0.5128
P 0.0949 0.0949 0.0949
P 0.9051 0.9051 0.9051